Starting from a DFT-relaxed cell (PBE, Alexandria), the PXRD pattern of NpAgTeO6 was calculated for Cu Kα, 1.54184 Å.

```
NpAgTeO6
1.0
5.7103 0.0000 0.0000
-2.8552 4.9453 0.0000
0.0000 0.0000 9.8740
Np Ag Te O
2 2 2 12
direct
0.3333 0.6667 0.2500
0.6667 0.3333 0.7500
0.0000 0.0000 0.0000
0.0000 0.0000 0.5000
0.3333 0.6667 0.7500
0.6667 0.3333 0.2500
0.0129 0.3755 0.1411
0.0129 0.6375 0.3589
0.3625 0.3755 0.3589
0.3625 0.9871 0.1411
0.3755 0.0129 0.6411
0.3755 0.3625 0.8589
0.6245 0.6375 0.1411
0.6245 0.9871 0.3589
0.6375 0.0129 0.8589
0.6375 0.6245 0.6411
0.9871 0.3625 0.6411
0.9871 0.6245 0.8589
```

Main lines, in order of rising 2θ (2θ from 10° to 90°):
2θ (°)	d/Å	I_rel	(hkl)
17.96	4.939	38	0 0 2
25.49	3.494	100	1 0 2
31.33	2.855	60	1 1 0
36.36	2.471	39	0 0 4
48.77	1.867	53	1 1 4
52.34	1.748	29	2 1 2